1.
This entry pairs a crystal structure of LiDyThS4 with its simulated X-ray diffraction stick pattern. Radiation: Cu Kα. Structure: a GGA-PBE-relaxed structure.
No peak broadening, texture or thermal motion is included.

Top 10 peaks for 10 to 90 degrees two-theta, low angle first:
two_theta	I/Imax
13.2	608
13.7	1000
25.5	466
26.0	220
26.2	221
26.6	256
27.5	232
31.3	724
31.4	359
44.9	540

Crystal structure
```
LiDyThS4
1.0
-3.9423 4.1535 5.6975
3.9423 -4.1535 5.6975
3.9423 4.1535 -5.6975
Li Dy Th S
2 2 2 8
direct
0.3832 0.1332 0.2500
0.6168 0.8668 0.7500
0.0000 0.0000 0.5000
0.0000 0.5000 0.0000
0.0000 0.5000 0.5000
0.5000 0.5000 0.0000
0.2241 0.7434 0.4807
0.2372 0.2566 0.9807
0.2426 0.2545 0.5119
0.2426 0.7306 0.9881
0.7574 0.2694 0.0119
0.7574 0.7455 0.4881
0.7628 0.7434 0.0193
0.7759 0.2566 0.5193
```



2.
This entry pairs a crystal structure of MnV2Cr8 with its simulated X-ray diffraction stick pattern. Radiation: Cu Kα. Structure: a GGA-PBE-relaxed structure.
No peak broadening, texture or thermal motion is included.

Top 10 peaks for 10 to 90 degrees two-theta, low angle first:
two_theta	I/Imax
38.8	121
43.4	1000
45.0	450
46.0	681
48.0	333
62.1	109
68.0	208
82.0	127
83.8	98
84.5	118

Crystal structure
```
MnV2Cr8
1.0
4.0254 0.0000 0.0000
0.0000 4.8771 3.4941
0.0000 -4.8771 3.4941
Mn V Cr
1 2 8
direct
0.0000 0.0000 0.0000
0.5000 0.3501 0.6183
0.5000 0.6183 0.3501
0.0000 0.3370 0.8491
0.0000 0.3446 0.3446
0.0000 0.6812 0.6812
0.0000 0.8491 0.3370
0.5000 0.0308 0.2774
0.5000 0.2774 0.0308
0.5000 0.7013 0.9588
0.5000 0.9588 0.7013
```



3.
This entry pairs a crystal structure of CeRe5Si6 with its simulated X-ray diffraction stick pattern. Radiation: Cu Kα. Structure: a GGA-PBE-relaxed structure.
No peak broadening, texture or thermal motion is included.

Top 10 peaks for 10 to 90 degrees two-theta, low angle first:
two_theta	I/Imax
21.2	211
28.8	1000
29.5	624
34.5	614
38.9	689
40.7	385
44.1	286
44.3	588
47.0	179
58.4	210

Crystal structure
```
CeRe5Si6
1.0
2.6584 -5.7934 0.0000
2.6584 5.7934 0.0000
-1.2908 0.0000 6.0639
Ce Re Si
1 5 6
direct
0.0000 0.0000 0.0000
0.0000 0.0000 0.5000
0.3095 0.6905 0.0000
0.3716 0.6284 0.5000
0.6284 0.3716 0.5000
0.6905 0.3095 0.0000
0.0741 0.6983 0.3009
0.3017 0.9259 0.6991
0.4282 0.4282 0.7960
0.5718 0.5718 0.2040
0.6983 0.0741 0.3009
0.9259 0.3017 0.6991
```



4.
This entry pairs a crystal structure of CrIn2SnCl6 with its simulated X-ray diffraction stick pattern. Radiation: Cu Kα. Structure: a GGA-PBE-relaxed structure.
No peak broadening, texture or thermal motion is included.

Top 10 peaks for 10 to 90 degrees two-theta, low angle first:
two_theta	I/Imax
15.1	213
23.7	981
24.4	807
28.2	467
29.3	248
34.3	1000
38.3	225
41.6	365
42.1	452
48.5	300

Crystal structure
```
CrIn2SnCl6
1.0
7.2976 0.0000 0.0000
3.4365 6.4409 0.0000
3.4338 2.0639 6.1061
Cr In Sn Cl
1 2 1 6
direct
0.0000 0.0000 0.0000
0.2270 0.2273 0.2269
0.7730 0.7727 0.7731
0.5000 0.5000 0.5000
0.1675 0.7800 0.2989
0.2206 0.7015 0.8319
0.2986 0.1681 0.7810
0.7014 0.8319 0.2190
0.7794 0.2985 0.1681
0.8325 0.2200 0.7011
```



5.
This entry pairs a crystal structure of InGa9Hg2 with its simulated X-ray diffraction stick pattern. Radiation: Cu Kα. Structure: a GGA-PBE-relaxed structure.
No peak broadening, texture or thermal motion is included.

Top 10 peaks for 10 to 90 degrees two-theta, low angle first:
two_theta	I/Imax
29.7	1000
30.5	306
33.6	810
34.7	702
36.9	846
37.5	477
39.1	601
44.5	265
55.3	260
61.7	460

Crystal structure
```
InGa9Hg2
1.0
3.0048 1.7349 8.2903
-3.0048 1.7349 8.2903
0.0000 -3.4697 8.2903
In Ga Hg
1 9 2
direct
0.0000 0.0000 0.0000
0.0659 0.5994 0.5994
0.3387 0.3387 0.3387
0.4006 0.4006 0.9341
0.4006 0.9341 0.4006
0.5000 0.5000 0.5000
0.5994 0.0659 0.5994
0.5994 0.5994 0.0659
0.6613 0.6613 0.6613
0.9341 0.4006 0.4006
0.1280 0.1280 0.1280
0.8720 0.8720 0.8720
```



6.
This entry pairs a crystal structure of Ge2Se with its simulated X-ray diffraction stick pattern. Radiation: Cu Kα. Structure: a GGA-PBE-relaxed structure.
No peak broadening, texture or thermal motion is included.

Top 10 peaks for 10 to 90 degrees two-theta, low angle first:
two_theta	I/Imax
30.8	519
32.6	1000
44.9	339
46.1	351
46.6	176
47.0	179
57.2	87
57.3	86
57.9	89
68.3	110

Crystal structure
```
Ge2Se
1.0
3.8686 0.0000 0.0000
0.0037 3.9008 0.0000
1.9176 1.6407 8.7054
Ge Se
4 2
direct
0.0000 0.0000 0.0000
0.1507 0.1523 0.6974
0.4818 0.4855 0.0373
0.8273 0.8533 0.3419
0.3351 0.3683 0.3314
0.6739 0.7164 0.6509
```



7.
This entry pairs a crystal structure of LuCl with its simulated X-ray diffraction stick pattern. Radiation: Cu Kα. Structure: a GGA-PBE-relaxed structure.
No peak broadening, texture or thermal motion is included.

Top 10 peaks for 10 to 90 degrees two-theta, low angle first:
two_theta	I/Imax
25.6	485
25.7	495
26.1	286
30.0	295
30.2	281
30.6	1000
34.5	347
35.8	619
36.4	331
36.8	294

Crystal structure
```
LuCl
1.0
3.7147 0.0000 0.0000
0.0000 3.6318 0.0000
-0.0776 0.0000 9.8789
Lu Cl
2 2
direct
0.2474 0.2500 0.3754
0.7526 0.7500 0.6246
0.2430 0.7500 0.1893
0.7570 0.2500 0.8107
```



8.
This entry pairs a crystal structure of SrCaTi4O12 with its simulated X-ray diffraction stick pattern. Radiation: Cu Kα. Structure: a GGA-PBE-relaxed structure.
No peak broadening, texture or thermal motion is included.

Top 10 peaks for 10 to 90 degrees two-theta, low angle first:
two_theta	I/Imax
19.8	637
22.8	353
32.5	1000
38.3	336
46.7	675
51.1	142
58.0	374
68.1	354
77.6	155
86.6	111

Crystal structure
```
SrCaTi4O12
1.0
7.7825 0.0000 0.0000
0.0000 3.8945 3.8923
0.0000 -3.8945 3.8923
Sr Ca Ti O
1 1 4 12
direct
0.0000 0.0000 0.0000
0.5000 0.5142 0.5142
0.2515 0.0058 0.5026
0.2515 0.5026 0.0058
0.7485 0.0058 0.5026
0.7485 0.5026 0.0058
0.0000 0.0102 0.4935
0.0000 0.4935 0.0102
0.2449 0.7461 0.7461
0.2519 0.2473 0.7583
0.2519 0.7583 0.2473
0.2676 0.2637 0.2637
0.5000 0.5124 0.9808
0.5000 0.9808 0.5124
0.7324 0.2637 0.2637
0.7481 0.2473 0.7583
0.7481 0.7583 0.2473
0.7551 0.7461 0.7461
```